# GaSb4
Computed powder diffractogram, Cu Kα X-rays. Input: a crystal structure in Alexandria, relaxed with GGA-PBE.
Intensities are scaled so that the largest is 100.

Cell lengths 5.305, 5.305, 5.305 Å; angles 90.00, 90.00, 90.00 degrees
Fractional coordinates of all 5 atoms:
Ga1 0.000 0.000 0.000
Sb1 0.000 0.000 0.500
Sb2 0.000 0.500 0.000
Sb3 0.500 0.000 0.000
Sb4 0.500 0.500 0.500

Largest 10 diffraction maxima, by angle, 2θ from 10° to 90°:
(1 0 0), 2θ 16.7, I 9
(1 1 0), 2θ 23.7, I 8
(1 1 1), 2θ 29.2, I 100
(2 0 0), 2θ 33.8, I 94
(2 2 0), 2θ 48.5, I 67
(3 1 1), 2θ 57.6, I 43
(2 2 2), 2θ 60.4, I 23
(4 0 0), 2θ 71.1, I 10
(3 3 1), 2θ 78.6, I 17
(4 2 0), 2θ 81.1, I 29